The following is a theoretical XRD peak list of Pm3CoO6. It was derived from the PBE+U geometry in Alexandria, using Cu Ka.
Neutral-atom scattering factors, no anomalous dispersion.

Cell and atoms:
a b c (Å): 9.1989 11.5043 5.5894
angles (deg): 90.00 90.00 90.00
Space group Cmc2_1 (No. 36)
Inequivalent atoms, fractional coordinates:
Pm 0.0000 0.1035 0.0000 x4
Pm 0.1959 0.3913 0.0483 x8
Co 0.0000 0.3135 0.5791 x4
O 0.0000 0.2843 0.2553 x4
O 0.0000 0.4564 0.7334 x4
O 0.1544 0.2389 0.7565 x8
O 0.1598 0.0142 0.2771 x8

Most intense lines, 2θ = 5–70°, by intensity:
d (Å)	2θ/deg	I_rel	index
3.022	29.6	100	2 2 1
2.990	29.9	34	1 3 1
2.033	44.6	21	3 1 2
1.840	49.5	20	3 5 0
2.004	45.2	19	0 4 2
2.795	32.0	18	0 0 2
2.963	30.2	15	3 1 0
1.590	58.0	15	5 3 1
4.412	20.1	15	1 1 1
2.876	31.1	13	0 4 0